Diffraction record for Tb4Dy7Sc. The powder diffraction line list is calculated, not measured: it uses a structure optimized by DFT (PBE) and Cu Kα X-rays.

Most intense lines, 2θ = 10–90°, in order of rising 2θ:
index, 2θ (°), I_rel
1 -2 0, 29.2, 41
0 0 3, 31.5, 50
2 0 -1, 32.3, 100
2 0 2, 34.0, 90
3 2 1, 51.4, 25
2 0 -4, 55.5, 21
2 0 5, 58.8, 19
3 2 4, 61.5, 44

Crystal structure
Cell: 6.154 7.116 8.761 Å, 78.25 83.31 90.00°
Element x y z (fractional)
Tb: 0.000 0.000 0.000
Tb: 0.106 0.665 0.336
Tb: 0.502 0.254 0.996
Tb: 0.611 0.914 0.338
Dy: 0.112 0.168 0.333
Dy: 0.220 0.335 0.667
Dy: 0.221 0.831 0.667
Dy: 0.499 0.749 0.996
Dy: 0.611 0.418 0.338
Dy: 0.723 0.083 0.668
Dy: 0.995 0.502 0.997
Sc: 0.721 0.583 0.667